Mg7Ag2Sn2: theoretical powder XRD pattern (copper Kα), based on a GGA-PBE-relaxed structure.

Crystal structure
Lattice parameters (Å, degrees): 6.6911 10.0263 7.8534 90.00 90.00 90.00
Space group Cmmm (No. 65)
Symmetry-distinct sites (fractional):
Mg 0.0000 0.0000 0.0000 x2
Mg 0.0000 0.5000 0.2012 x4
Mg 0.2500 0.2500 0.2889 x8
Ag 0.0000 0.2737 0.0000 x4
Sn 0.2188 0.0000 0.5000 x4

Main lines, low angle first (15 to 90 degrees two-theta):
h k l  d/Å  I/Imax
0 2 1  4.226  100
0 0 2  3.927  35
2 0 1  3.078  80
0 2 3  2.320  40
2 2 2  2.270  77
2 4 1  1.944  36